Entry 1:
The following is a computed XRD peak list of Pu5Pt2Au2. It was derived from the GGA-PBE geometry in Alexandria, using λ = 1.5418 Å (Cu Kα).

```
data_Pu5Pt2Au2
_cell_length_a 8.454
_cell_length_b 8.454
_cell_length_c 7.713
_cell_angle_alpha 90.00
_cell_angle_beta 90.00
_cell_angle_gamma 54.53
_space_group_name_H-M_alt 'P 1'
_space_group_IT_number 1
_space_group_name_Hall 'P 1'
loop_
_atom_site_label
_atom_site_fract_x
_atom_site_fract_y
_atom_site_fract_z
Pu1 0.000 0.000 0.000
Pu2 0.043 0.695 0.669
Pu3 0.195 0.543 0.169
Pu4 0.305 0.957 0.669
Pu5 0.457 0.805 0.169
Pu6 0.500 0.500 0.500
Pu7 0.543 0.195 0.831
Pu8 0.695 0.043 0.331
Pu9 0.805 0.457 0.831
Pu10 0.957 0.305 0.331
Pt1 0.129 0.871 0.370
Pt2 0.371 0.629 0.870
Pt3 0.629 0.371 0.130
Pt4 0.871 0.129 0.630
Au1 0.209 0.209 0.000
Au2 0.291 0.291 0.500
Au3 0.709 0.709 0.500
Au4 0.791 0.791 0.000
```

Main lines, low angle first (2θ from 10° to 90°):
2θ (°)	I/Imax
31.5	91.8
32.8	50.5
33.3	100.0
34.0	33.2
35.3	88.1
37.2	60.9
37.3	58.9
39.8	32.7
48.5	29.7
68.0	30.0

***

Entry 2:
The following is a computed XRD peak list of PmThGaAu. It was derived from the GGA-PBE geometry in Alexandria, using λ = 1.5418 Å (Cu Kα).

```
data_PmThGaAu
_cell_length_a 4.513
_cell_length_b 5.986
_cell_length_c 5.986
_cell_angle_alpha 40.23
_cell_angle_beta 90.00
_cell_angle_gamma 90.00
_space_group_name_H-M_alt 'P 1'
_space_group_IT_number 1
_space_group_name_Hall 'P 1'
loop_
_atom_site_label
_atom_site_fract_x
_atom_site_fract_y
_atom_site_fract_z
Pm1 0.000 0.000 0.000
Th1 0.500 0.283 0.283
Ga1 0.000 0.720 0.720
Au1 0.500 0.563 0.563
```

Main lines, low angle first (2θ from 10° to 90°):
2θ (°)	I/Imax
30.4	100.0
31.8	27.6
32.3	36.2
37.7	28.0
38.1	61.8
40.0	28.1
44.0	21.5
52.3	19.1
60.9	16.5
76.4	16.5

***

Entry 3:
The following is a computed XRD peak list of SrGa2GeAu. It was derived from the GGA-PBE geometry in Alexandria, using λ = 1.5418 Å (Cu Kα).

```
data_SrGa2GeAu
_cell_length_a 6.289
_cell_length_b 6.289
_cell_length_c 6.289
_cell_angle_alpha 138.05
_cell_angle_beta 137.60
_cell_angle_gamma 61.17
_space_group_name_H-M_alt 'P 1'
_space_group_IT_number 1
_space_group_name_Hall 'P 1'
loop_
_atom_site_label
_atom_site_fract_x
_atom_site_fract_y
_atom_site_fract_z
Sr1 0.000 0.000 0.000
Ga1 0.386 0.386 0.000
Ga2 0.751 0.251 0.500
Ge1 0.251 0.751 0.500
Au1 0.622 0.622 0.000
```

Main lines, low angle first (2θ from 10° to 90°):
2θ (°)	I/Imax
21.2	33.7
21.4	34.4
27.9	40.5
31.6	50.3
31.8	49.4
32.5	100.0
39.6	46.7
40.0	45.3
43.8	59.1
46.5	47.1

***

Entry 4:
The following is a computed XRD peak list of Tm2Mg2Tl7. It was derived from the GGA-PBE geometry in Alexandria, using λ = 1.5418 Å (Cu Kα).

```
data_Tm2Mg2Tl7
_cell_length_a 10.215
_cell_length_b 10.215
_cell_length_c 10.215
_cell_angle_alpha 159.54
_cell_angle_beta 60.48
_cell_angle_gamma 123.77
_space_group_name_H-M_alt 'P 1'
_space_group_IT_number 1
_space_group_name_Hall 'P 1'
loop_
_atom_site_label
_atom_site_fract_x
_atom_site_fract_y
_atom_site_fract_z
Tm1 0.246 0.000 0.246
Tm2 0.754 0.000 0.754
Mg1 0.246 0.246 0.000
Mg2 0.664 0.164 0.500
Tl1 0.052 0.693 0.359
Tl2 0.334 0.693 0.641
Tl3 0.387 0.493 0.894
Tl4 0.599 0.493 0.106
Tl5 0.636 0.291 0.345
Tl6 0.940 0.940 0.000
Tl7 0.945 0.291 0.655
```

Main lines, low angle first (2θ from 10° to 90°):
2θ (°)	I/Imax
26.9	29.2
27.4	28.9
28.9	34.2
31.3	75.4
31.8	38.1
33.3	100.0
34.5	34.4
35.8	33.3
37.4	31.7
58.1	31.4

***

Entry 5:
The following is a computed XRD peak list of Na2B3C. It was derived from the GGA-PBE geometry in Alexandria, using λ = 1.5418 Å (Cu Kα).

```
data_Na2B3C
_cell_length_a 11.708
_cell_length_b 11.708
_cell_length_c 10.100
_cell_angle_alpha 106.66
_cell_angle_beta 106.66
_cell_angle_gamma 13.84
_space_group_name_H-M_alt 'P 1'
_space_group_IT_number 1
_space_group_name_Hall 'P 1'
loop_
_atom_site_label
_atom_site_fract_x
_atom_site_fract_y
_atom_site_fract_z
Na1 0.000 0.000 0.000
Na2 0.100 0.100 0.702
Na3 0.199 0.199 0.398
Na4 0.301 0.301 0.097
Na5 0.401 0.401 0.802
Na6 0.500 0.500 0.498
Na7 0.598 0.598 0.197
Na8 0.700 0.700 0.904
Na9 0.801 0.801 0.598
Na10 0.900 0.900 0.295
B1 0.009 0.009 0.265
B2 0.076 0.076 0.400
B3 0.182 0.182 0.114
B4 0.228 0.228 0.708
B5 0.314 0.314 0.376
B6 0.378 0.378 0.503
B7 0.414 0.414 0.076
B8 0.524 0.524 0.800
B9 0.591 0.591 0.932
B10 0.620 0.620 0.490
B11 0.684 0.684 0.619
B12 0.773 0.773 0.293
B13 0.820 0.820 0.891
B14 0.920 0.920 0.590
B15 0.984 0.984 0.719
C1 0.120 0.120 0.992
C2 0.288 0.288 0.827
C3 0.477 0.477 0.201
C4 0.714 0.714 0.174
C5 0.882 0.882 0.014
```

Main lines, low angle first (2θ from 10° to 90°):
2θ (°)	I/Imax
34.5	12.9
36.2	16.5
40.4	24.0
40.5	24.0
41.8	38.1
42.0	100.0
62.9	16.6
76.6	9.7
78.5	8.1
80.6	9.4

***

Entry 6:
The following is a computed XRD peak list of Nd7Y12In. It was derived from the GGA-PBE geometry in Alexandria, using λ = 1.5418 Å (Cu Kα).

```
data_Nd7Y12In
_cell_length_a 8.779
_cell_length_b 8.779
_cell_length_c 8.779
_cell_angle_alpha 87.03
_cell_angle_beta 87.03
_cell_angle_gamma 87.03
_space_group_name_H-M_alt 'P 1'
_space_group_IT_number 1
_space_group_name_Hall 'P 1'
loop_
_atom_site_label
_atom_site_fract_x
_atom_site_fract_y
_atom_site_fract_z
Nd1 0.000 0.000 0.000
Nd2 0.109 0.417 0.356
Nd3 0.356 0.109 0.417
Nd4 0.417 0.356 0.109
Nd5 0.583 0.644 0.891
Nd6 0.644 0.891 0.583
Nd7 0.891 0.583 0.644
Y1 0.004 0.108 0.642
Y2 0.108 0.642 0.004
Y3 0.245 0.365 0.746
Y4 0.254 0.755 0.635
Y5 0.358 0.996 0.892
Y6 0.365 0.746 0.245
Y7 0.635 0.254 0.755
Y8 0.642 0.004 0.108
Y9 0.746 0.245 0.365
Y10 0.755 0.635 0.254
Y11 0.892 0.358 0.996
Y12 0.996 0.892 0.358
In1 0.500 0.500 0.500
```

Main lines, low angle first (2θ from 10° to 90°):
2θ (°)	I/Imax
23.8	16.0
28.1	18.0
29.2	37.8
30.6	61.9
31.3	96.3
31.8	43.8
32.8	100.0
51.2	23.3
52.8	20.3
54.5	18.7

***

Entry 7:
The following is a computed XRD peak list of Sm2Te2F. It was derived from the GGA-PBE geometry in Alexandria, using λ = 1.5418 Å (Cu Kα).

```
data_Sm2Te2F
_cell_length_a 17.714
_cell_length_b 17.714
_cell_length_c 17.714
_cell_angle_alpha 166.35
_cell_angle_beta 166.35
_cell_angle_gamma 19.36
_space_group_name_H-M_alt 'P 1'
_space_group_IT_number 1
_space_group_name_Hall 'P 1'
loop_
_atom_site_label
_atom_site_fract_x
_atom_site_fract_y
_atom_site_fract_z
Sm1 0.090 0.340 0.750
Sm2 0.340 0.090 0.250
Sm3 0.660 0.910 0.750
Sm4 0.910 0.660 0.250
Te1 0.193 0.443 0.750
Te2 0.443 0.193 0.250
Te3 0.557 0.807 0.750
Te4 0.807 0.557 0.250
F1 0.125 0.875 0.250
F2 0.875 0.125 0.750
```

Main lines, low angle first (2θ from 10° to 90°):
2θ (°)	I/Imax
10.1	57.5
20.3	30.3
27.7	22.4
30.5	100.0
31.3	57.2
35.4	35.4
39.8	34.9
43.0	36.7
54.1	24.1
56.8	18.3

***

Entry 8:
The following is a computed XRD peak list of Cd5Hg2Sb3. It was derived from the GGA-PBE geometry in Alexandria, using λ = 1.5418 Å (Cu Kα).

```
data_Cd5Hg2Sb3
_cell_length_a 4.774
_cell_length_b 7.858
_cell_length_c 14.500
_cell_angle_alpha 90.00
_cell_angle_beta 98.79
_cell_angle_gamma 90.00
_space_group_name_H-M_alt 'P 1'
_space_group_IT_number 1
_space_group_name_Hall 'P 1'
loop_
_atom_site_label
_atom_site_fract_x
_atom_site_fract_y
_atom_site_fract_z
Cd1 0.002 0.000 0.399
Cd2 0.048 0.861 0.741
Cd3 0.223 0.092 0.086
Cd4 0.258 0.572 0.104
Cd5 0.358 0.727 0.291
Cd6 0.642 0.227 0.709
Cd7 0.742 0.072 0.896
Cd8 0.777 0.592 0.914
Cd9 0.952 0.361 0.259
Cd10 0.998 0.500 0.601
Hg1 0.209 0.333 0.849
Hg2 0.456 0.353 0.468
Hg3 0.544 0.853 0.532
Hg4 0.791 0.833 0.151
Sb1 0.102 0.119 0.598
Sb2 0.285 0.836 0.943
Sb3 0.449 0.119 0.288
Sb4 0.551 0.619 0.712
Sb5 0.715 0.336 0.057
Sb6 0.898 0.619 0.402
```

Main lines, low angle first (2θ from 10° to 90°):
2θ (°)	I/Imax
29.4	14.0
30.8	86.3
31.0	100.0
31.1	21.1
33.3	31.9
33.6	15.1
34.0	14.8
37.7	38.0
47.0	11.8
64.0	12.6